Structure and computed XRD peak list of Pm5Pr2Dy12 (a crystal structure in Alexandria, relaxed with GGA-PBE; Cu Kα (weighted mean of Kα1 and Kα2)).

Largest 10 diffraction maxima, in order of rising 2θ, 5° ≤ 2θ ≤ 70°:
| two_theta | I/Imax |
| --- | --- |
| 29.47 | 566 |
| 30.48 | 201 |
| 31.26 | 1000 |
| 31.47 | 767 |
| 31.72 | 879 |
| 32.07 | 658 |
| 32.12 | 864 |
| 32.61 | 340 |
| 33.24 | 479 |
| 47.75 | 257 |

Structure:
```
data_Pm5Pr2Dy12
_cell_length_a 6.827
_cell_length_b 9.047
_cell_length_c 11.574
_cell_angle_alpha 98.28
_cell_angle_beta 105.06
_cell_angle_gamma 109.77
_symmetry_space_group_name_H-M 'P 1'
_symmetry_Int_Tables_number 1
_symmetry_space_group_name_Hall 'P 1'
loop_
_atom_site_label
_atom_site_type_symbol
_atom_site_fract_x
_atom_site_fract_y
_atom_site_fract_z
_atom_site_occupancy
Pm1 Pm 0.000 0.000 0.000 1
Pm2 Pm 0.108 0.846 0.483 1
Pm3 Pm 0.361 0.793 0.947 1
Pm4 Pm 0.639 0.207 0.053 1
Pm5 Pm 0.892 0.154 0.517 1
Pr1 Pr 0.485 0.270 0.585 1
Pr2 Pr 0.515 0.730 0.415 1
Dy1 Dy 0.008 0.623 0.150 1
Dy2 Dy 0.155 0.321 0.304 1
Dy3 Dy 0.200 0.085 0.772 1
Dy4 Dy 0.248 0.562 0.628 1
Dy5 Dy 0.384 0.027 0.275 1
Dy6 Dy 0.427 0.495 0.121 1
Dy7 Dy 0.573 0.505 0.879 1
Dy8 Dy 0.616 0.973 0.725 1
Dy9 Dy 0.752 0.438 0.372 1
Dy10 Dy 0.800 0.915 0.228 1
Dy11 Dy 0.845 0.679 0.696 1
Dy12 Dy 0.992 0.377 0.850 1
```

Structure and computed XRD peak list of Pm2PrDy8 (a crystal structure in Alexandria, relaxed with GGA-PBE; Cu Kα (weighted mean of Kα1 and Kα2)).

Largest 10 diffraction maxima, in order of rising 2θ, 5° ≤ 2θ ≤ 70°:
| two_theta | I/Imax |
| --- | --- |
| 29.57 | 268 |
| 31.99 | 1000 |
| 32.18 | 154 |
| 32.32 | 343 |
| 33.46 | 272 |
| 47.21 | 208 |
| 52.16 | 101 |
| 57.44 | 190 |
| 62.71 | 116 |
| 63.93 | 116 |

Structure:
```
data_Pm2PrDy8
_cell_length_a 9.429
_cell_length_b 9.429
_cell_length_c 9.429
_cell_angle_alpha 145.84
_cell_angle_beta 128.84
_cell_angle_gamma 62.96
_symmetry_space_group_name_H-M 'P 1'
_symmetry_Int_Tables_number 1
_symmetry_space_group_name_Hall 'P 1'
loop_
_atom_site_label
_atom_site_type_symbol
_atom_site_fract_x
_atom_site_fract_y
_atom_site_fract_z
_atom_site_occupancy
Pm1 Pm 0.200 0.200 0.000 1
Pm2 Pm 0.800 0.800 0.000 1
Pr1 Pr 0.500 0.500 0.000 1
Dy1 Dy 0.068 0.361 0.707 1
Dy2 Dy 0.206 0.000 0.206 1
Dy3 Dy 0.338 0.838 0.500 1
Dy4 Dy 0.346 0.639 0.707 1
Dy5 Dy 0.654 0.361 0.293 1
Dy6 Dy 0.662 0.162 0.500 1
Dy7 Dy 0.794 0.000 0.794 1
Dy8 Dy 0.932 0.639 0.293 1
```